No. 1
Structure and computed X-ray diffraction stick pattern of K3Na2SnBi3 (a cell relaxed with PBE; a wavelength of 1.5418 Å).

The 8 most intense peaks (10° ≤ 2θ ≤ 80°), by angle:
2θ 20.1, I = 100
2θ 24.6, I = 39
2θ 27.0, I = 27
2θ 32.2, I = 41
2θ 32.3, I = 37
2θ 35.0, I = 39
2θ 35.8, I = 30
2θ 40.7, I = 29

Structural model:
```
K3Na2SnBi3
1.0
-3.619 8.646 10.884
3.619 -8.646 10.884
3.619 8.646 -10.884
K Na Sn Bi
12 8 4 12
Direct
0.078 0.750 0.828
0.087 0.882 0.640
0.243 0.382 0.295
0.257 0.552 0.140
0.413 0.052 0.795
0.422 0.250 0.672
0.578 0.750 0.328
0.587 0.948 0.205
0.743 0.448 0.860
0.757 0.618 0.705
0.913 0.118 0.360
0.922 0.250 0.172
0.003 0.253 0.750
0.161 0.411 0.750
0.339 0.089 0.250
0.497 0.247 0.250
0.503 0.753 0.750
0.661 0.911 0.750
0.839 0.589 0.250
0.997 0.747 0.250
0.167 0.917 0.250
0.333 0.583 0.750
0.667 0.417 0.250
0.833 0.083 0.750
0.023 0.371 0.073
0.149 0.250 0.399
0.202 0.051 0.573
0.298 0.871 0.848
0.351 0.750 0.101
0.477 0.551 0.348
0.523 0.449 0.652
0.649 0.250 0.899
0.702 0.129 0.152
0.798 0.949 0.427
0.851 0.750 0.601
0.977 0.629 0.927
```


No. 2
Structure and computed X-ray diffraction stick pattern of Li3VH7 (a cell relaxed with PBE; a wavelength of 1.5418 Å).

The 8 most intense peaks (10° ≤ 2θ ≤ 80°), by angle:
2θ 21.3, I = 46
2θ 21.8, I = 100
2θ 23.0, I = 76
2θ 27.8, I = 27
2θ 28.2, I = 23
2θ 35.7, I = 43
2θ 40.0, I = 27
2θ 47.0, I = 31

Structural model:
```
Li3VH7
1.0
3.224 -3.162 0.000
3.224 3.162 0.000
-2.858 0.000 4.163
Li V H
3 1 7
Direct
0.000 0.000 0.000
0.272 0.724 0.561
0.724 0.272 0.561
0.580 0.580 0.133
0.197 0.522 0.836
0.353 0.353 0.211
0.365 0.869 0.283
0.522 0.197 0.836
0.654 0.654 0.849
0.869 0.365 0.283
0.876 0.876 0.504
```


No. 3
Structure and computed X-ray diffraction stick pattern of AlCu2Ni2 (a cell relaxed with PBE; a wavelength of 1.5418 Å).

The 8 most intense peaks (10° ≤ 2θ ≤ 80°), by angle:
2θ 22.9, I = 16
2θ 38.5, I = 37
2θ 44.0, I = 43
2θ 44.9, I = 59
2θ 47.1, I = 11
2θ 48.0, I = 100
2θ 59.8, I = 18
2θ 75.4, I = 15

Structural model:
```
AlCu2Ni2
1.0
-2.058 2.559 5.793
2.058 -2.559 5.793
2.058 2.559 -5.793
Al Cu Ni
2 4 4
Direct
0.381 0.131 0.250
0.619 0.869 0.750
0.127 0.877 0.250
0.250 0.500 0.750
0.750 0.500 0.250
0.873 0.123 0.750
0.182 0.685 0.497
0.311 0.315 0.997
0.689 0.685 0.003
0.818 0.315 0.503
```


No. 4
Structure and computed X-ray diffraction stick pattern of RbNpTiS3 (a cell relaxed with PBE; a wavelength of 1.5418 Å).

The 8 most intense peaks (10° ≤ 2θ ≤ 80°), by angle:
2θ 11.6, I = 100
2θ 23.3, I = 32
2θ 24.1, I = 27
2θ 29.2, I = 23
2θ 29.7, I = 54
2θ 30.3, I = 39
2θ 35.6, I = 24
2θ 44.3, I = 19

Structural model:
```
RbNpTiS3
1.0
9.132 0.000 0.000
0.000 4.043 0.000
-3.143 0.000 9.177
Rb Np Ti S
2 2 2 6
Direct
0.206 0.250 0.228
0.794 0.750 0.772
0.333 0.750 0.853
0.667 0.250 0.147
0.082 0.250 0.603
0.918 0.750 0.397
0.123 0.250 0.856
0.189 0.750 0.540
0.464 0.750 0.148
0.536 0.250 0.852
0.811 0.250 0.460
0.877 0.750 0.144
```


No. 5
Structure and computed X-ray diffraction stick pattern of Pm10Nd6Th (a cell relaxed with PBE; a wavelength of 1.5418 Å).

The 8 most intense peaks (10° ≤ 2θ ≤ 80°), by angle:
2θ 30.4, I = 47
2θ 31.1, I = 100
2θ 31.3, I = 75
2θ 44.8, I = 26
2θ 48.1, I = 14
2θ 55.3, I = 18
2θ 55.7, I = 17
2θ 61.8, I = 16

Structural model:
```
Pm10Nd6Th
1.0
9.885 0.000 0.000
-4.942 8.560 0.000
0.000 0.000 7.060
Pm Nd Th
10 6 1
Direct
0.000 0.271 0.315
0.000 0.729 0.685
0.271 0.000 0.315
0.271 0.271 0.685
0.333 0.667 0.000
0.333 0.667 0.500
0.667 0.333 0.000
0.667 0.333 0.500
0.729 0.000 0.685
0.729 0.729 0.315
0.000 0.374 0.802
0.000 0.626 0.198
0.374 0.000 0.802
0.374 0.374 0.198
0.626 0.000 0.198
0.626 0.626 0.802
0.000 0.000 0.000
```


No. 6
Structure and computed X-ray diffraction stick pattern of TaMo4W7 (a cell relaxed with PBE; a wavelength of 1.5418 Å).

The 8 most intense peaks (10° ≤ 2θ ≤ 80°), by angle:
2θ 38.6, I = 21
2θ 39.0, I = 21
2θ 39.4, I = 100
2θ 40.0, I = 55
2θ 40.2, I = 23
2θ 40.3, I = 12
2θ 41.1, I = 23
2θ 72.2, I = 20

Structural model:
```
TaMo4W7
1.0
2.727 0.000 0.000
0.000 4.508 0.000
-0.176 -0.015 31.888
Ta Mo W
2 8 14
Direct
0.000 0.000 0.000
0.254 0.000 0.498
0.243 0.000 0.915
0.363 0.500 0.208
0.558 0.000 0.749
0.652 0.000 0.250
0.712 0.500 0.043
0.864 0.500 0.709
0.919 0.000 0.415
0.935 0.500 0.539
0.052 0.500 0.125
0.211 0.500 0.792
0.255 0.500 0.374
0.288 0.000 0.667
0.394 0.000 0.084
0.537 0.500 0.956
0.559 0.000 0.835
0.582 0.000 0.334
0.603 0.500 0.456
0.638 0.000 0.583
0.728 0.000 0.165
0.895 0.500 0.874
0.948 0.500 0.292
0.993 0.500 0.625
```


No. 7
Structure and computed X-ray diffraction stick pattern of ZnHg2AsF6 (a cell relaxed with PBE; a wavelength of 1.5418 Å).

The 8 most intense peaks (10° ≤ 2θ ≤ 80°), by angle:
2θ 20.9, I = 19
2θ 29.8, I = 100
2θ 36.7, I = 20
2θ 42.6, I = 32
2θ 47.9, I = 8
2θ 52.8, I = 35
2θ 61.8, I = 17
2θ 70.1, I = 12

Structural model:
```
ZnHg2AsF6
1.0
4.238 -4.244 0.000
4.238 4.244 0.000
-4.230 0.000 4.246
Zn Hg As F
1 2 1 6
Direct
0.000 0.000 0.000
0.250 0.750 0.500
0.750 0.250 0.500
0.500 0.500 0.000
0.251 0.251 0.000
0.251 0.251 0.502
0.251 0.749 0.000
0.749 0.251 0.000
0.749 0.749 0.000
0.749 0.749 0.498
```


No. 8
Structure and computed X-ray diffraction stick pattern of Ac8MgIn2 (a cell relaxed with PBE; a wavelength of 1.5418 Å).

The 8 most intense peaks (10° ≤ 2θ ≤ 80°), by angle:
2θ 23.0, I = 14
2θ 28.2, I = 15
2θ 28.8, I = 20
2θ 29.5, I = 100
2θ 32.2, I = 27
2θ 33.3, I = 18
2θ 47.0, I = 14
2θ 55.8, I = 17

Structural model:
```
Ac8MgIn2
1.0
-2.781 4.842 8.083
2.781 -4.842 8.083
2.781 4.842 -8.083
Ac Mg In
8 1 2
Direct
0.119 0.340 0.779
0.144 0.144 0.000
0.319 0.000 0.319
0.438 0.660 0.779
0.562 0.340 0.221
0.681 0.000 0.681
0.856 0.856 0.000
0.881 0.660 0.221
0.000 0.500 0.500
0.306 0.806 0.500
0.694 0.194 0.500
```


No. 9
Structure and computed X-ray diffraction stick pattern of TlCd2Pb (a cell relaxed with PBE; a wavelength of 1.5418 Å).

The 8 most intense peaks (10° ≤ 2θ ≤ 80°), by angle:
2θ 30.8, I = 100
2θ 30.9, I = 33
2θ 31.6, I = 61
2θ 34.0, I = 30
2θ 36.3, I = 37
2θ 37.5, I = 38
2θ 39.7, I = 16
2θ 49.4, I = 18

Structural model:
```
TlCd2Pb
1.0
7.299 0.000 0.000
0.000 4.797 0.000
0.000 0.000 12.600
Tl Cd Pb
4 8 4
Direct
0.161 0.250 0.033
0.339 0.750 0.533
0.661 0.250 0.467
0.839 0.750 0.967
0.051 0.750 0.197
0.064 0.250 0.576
0.436 0.750 0.076
0.449 0.250 0.697
0.551 0.750 0.303
0.564 0.250 0.924
0.936 0.750 0.424
0.949 0.250 0.803
0.237 0.250 0.326
0.263 0.750 0.826
0.737 0.250 0.174
0.763 0.750 0.674
```


No. 10
Structure and computed X-ray diffraction stick pattern of KRb2NbS4 (a cell relaxed with PBE; a wavelength of 1.5418 Å).

The 8 most intense peaks (10° ≤ 2θ ≤ 80°), by angle:
2θ 21.1, I = 45
2θ 21.8, I = 39
2θ 26.3, I = 20
2θ 27.8, I = 100
2θ 28.5, I = 42
2θ 29.2, I = 23
2θ 40.1, I = 20
2θ 41.5, I = 21

Structural model:
```
KRb2NbS4
1.0
8.000 0.000 0.000
3.958 8.258 0.000
3.960 1.263 8.167
K Rb Nb S
2 4 2 8
Direct
0.000 0.000 0.000
0.500 0.009 0.991
0.000 0.515 0.485
0.033 0.024 0.480
0.500 0.486 0.514
0.967 0.519 0.975
0.491 0.900 0.611
0.508 0.390 0.100
0.254 0.287 0.202
0.268 0.765 0.745
0.312 0.165 0.669
0.369 0.655 0.153
0.630 0.847 0.345
0.688 0.332 0.836
0.731 0.255 0.235
0.746 0.798 0.713
```


No. 11
Structure and computed X-ray diffraction stick pattern of La2PrIr9 (a cell relaxed with PBE; a wavelength of 1.5418 Å).

The 8 most intense peaks (10° ≤ 2θ ≤ 80°), by angle:
2θ 19.3, I = 30
2θ 38.7, I = 30
2θ 39.0, I = 100
2θ 40.5, I = 28
2θ 42.2, I = 42
2θ 45.5, I = 28
2θ 63.2, I = 25
2θ 69.7, I = 27

Structural model:
```
La2PrIr9
1.0
2.700 1.559 8.915
-2.700 1.559 8.915
0.000 -3.117 8.915
La Pr Ir
2 1 9
Direct
0.140 0.140 0.140
0.860 0.860 0.860
0.000 0.000 0.000
0.084 0.578 0.578
0.332 0.332 0.332
0.422 0.422 0.916
0.422 0.916 0.422
0.500 0.500 0.500
0.578 0.084 0.578
0.578 0.578 0.084
0.668 0.668 0.668
0.916 0.422 0.422
```


No. 12
Structure and computed X-ray diffraction stick pattern of YIn3Pd (a cell relaxed with PBE; a wavelength of 1.5418 Å).

The 8 most intense peaks (10° ≤ 2θ ≤ 80°), by angle:
2θ 32.2, I = 100
2θ 36.6, I = 13
2θ 36.9, I = 32
2θ 39.8, I = 18
2θ 40.9, I = 28
2θ 43.1, I = 17
2θ 58.4, I = 16
2θ 69.0, I = 13

Structural model:
```
YIn3Pd
1.0
9.039 0.000 0.000
0.000 4.416 0.000
0.000 0.000 11.707
Y In Pd
4 12 4
Direct
0.196 0.250 0.006
0.304 0.750 0.506
0.696 0.250 0.494
0.804 0.750 0.994
0.064 0.250 0.589
0.097 0.750 0.816
0.145 0.750 0.209
0.355 0.250 0.709
0.403 0.250 0.316
0.436 0.750 0.089
0.564 0.250 0.911
0.597 0.750 0.684
0.645 0.750 0.291
0.855 0.250 0.791
0.903 0.250 0.184
0.936 0.750 0.411
0.110 0.250 0.357
0.390 0.750 0.857
0.610 0.250 0.143
0.890 0.750 0.643
```